1.
Starting from DFT lattice parameters and positions (PBE), the powder diffraction line list of La2Ga5Ni5 was computed for Cu Kα.

Crystal structure
a b c (Å): 5.1811 9.7768 8.0497
angles (deg): 90.00 90.00 90.00
Space group Amm2 (No. 38)
Asymmetric unit:
La 0.0000 0.0000 0.0000 x2
La 0.5000 0.0000 0.3787 x2
Ga 0.2448 0.2221 0.6864 x8
Ga 0.5000 0.0000 0.7781 x2
Ni 0.0000 0.0000 0.6259 x2
Ni 0.0000 0.1839 0.4163 x4
Ni 0.5000 0.1923 0.9577 x4

Largest 10 diffraction maxima, by angle, 10 to 90 degrees two-theta:
index, 2theta, Rel. int.
1 0 2, 28.07, 25.9
1 2 2, 33.63, 70.7
1 3 1, 34.37, 100.0
2 0 0, 34.65, 53.0
0 4 0, 36.77, 46.7
2 2 0, 39.36, 47.5
2 0 2, 41.45, 71.9
2 2 2, 45.59, 27.1
1 3 3, 47.26, 47.8
0 6 2, 61.40, 22.6

2.
Starting from DFT lattice parameters and positions (PBE), the powder diffraction line list of LaGaNi was computed for Cu Kα.

Crystal structure
a b c (Å): 6.0825 6.4256 7.7836
angles (deg): 90.00 123.93 90.00
Space group P2_1/c (No. 14)
Asymmetric unit:
La 0.2150 0.1484 0.4163 x4
Ga 0.2610 0.6373 0.5786 x4
Ni 0.3670 0.5921 0.3224 x4

Largest 10 diffraction maxima, by angle, 10 to 90 degrees two-theta:
index, 2theta, Rel. int.
1 1 -2, 26.88, 28.9
0 1 2, 31.03, 70.4
1 2 -1, 31.75, 100.0
2 1 -2, 33.55, 43.7
2 0 0, 35.58, 49.9
1 1 -3, 37.80, 59.9
1 2 1, 39.74, 80.7
3 1 -3, 48.61, 26.1
2 1 -4, 49.14, 29.5
1 3 -3, 55.99, 37.9

3.
Starting from DFT lattice parameters and positions (PBE), the powder diffraction line list of LaGa3Ni was computed for Cu Kα.

Crystal structure
a b c (Å): 4.1875 4.1875 10.6793
angles (deg): 90.00 90.00 90.00
Space group I-4m2 (No. 119)
Asymmetric unit:
La 0.0000 0.0000 0.0000 x2
Ga 0.0000 0.0000 0.3795 x4
Ga 0.0000 0.5000 0.2500 x2
Ni 0.0000 0.5000 0.7500 x2

Largest 10 diffraction maxima, by angle, 10 to 90 degrees two-theta:
index, 2theta, Rel. int.
1 1 0, 30.18, 18.7
1 0 3, 33.03, 75.5
1 1 2, 34.64, 100.0
2 0 0, 43.21, 59.3
1 0 5, 47.80, 32.1
2 1 3, 55.44, 33.9
2 2 0, 62.76, 18.9
2 1 5, 66.39, 23.5
3 1 2, 73.71, 20.9
2 0 8, 86.45, 15.0

4.
Starting from DFT lattice parameters and positions (PBE), the powder diffraction line list of La3GaO6 was computed for Cu Kα.

Crystal structure
a b c (Å): 9.4701 11.8818 5.7072
angles (deg): 90.00 90.00 90.00
Space group Cmc2_1 (No. 36)
Asymmetric unit:
La 0.0000 0.1043 0.0000 x4
La 0.1934 0.3931 0.9599 x8
Ga 0.0000 0.3064 0.4227 x4
O 0.0000 0.2852 0.7468 x4
O 0.0000 0.4538 0.2983 x4
O 0.1518 0.2375 0.2572 x8
O 0.1597 0.0138 0.7275 x8

Largest 10 diffraction maxima, by angle, 10 to 90 degrees two-theta:
index, 2theta, Rel. int.
2 2 1, 28.74, 100.0
1 3 1, 29.02, 38.9
3 1 0, 29.27, 14.8
0 0 2, 31.35, 19.2
3 1 2, 43.42, 22.0
0 4 2, 44.00, 18.5
3 5 0, 47.92, 20.5
2 2 3, 54.21, 13.0
5 3 1, 56.19, 16.1
6 0 0, 58.40, 17.2

5.
Starting from DFT lattice parameters and positions (PBE), the powder diffraction line list of La2Ga4O9 was computed for Cu Kα.

Crystal structure
a b c (Å): 7.8030 8.7739 5.9729
angles (deg): 90.00 90.00 90.00
Space group Pbam (No. 55)
Asymmetric unit:
La 0.1545 0.1849 0.0000 x4
Ga 0.0000 0.5000 0.2564 x4
Ga 0.1386 0.8337 0.5000 x4
O 0.0000 0.0000 0.5000 x2
O 0.1022 0.7216 0.2378 x8
O 0.1433 0.4222 0.5000 x4
O 0.1633 0.4515 0.0000 x4

Largest 10 diffraction maxima, by angle, 10 to 90 degrees two-theta:
index, 2theta, Rel. int.
1 2 1, 27.70, 68.6
2 1 1, 29.17, 100.0
1 3 0, 32.70, 38.8
1 1 2, 33.72, 34.5
0 2 2, 36.39, 18.4
2 0 2, 37.94, 17.8
1 4 1, 45.56, 26.6
0 4 2, 51.75, 17.5
2 1 3, 52.66, 21.1
3 3 2, 56.49, 40.6

6.
Starting from DFT lattice parameters and positions (PBE), the powder diffraction line list of La4Ga2O9 was computed for Cu Kα.

Crystal structure
a b c (Å): 8.0028 11.2572 11.7375
angles (deg): 90.00 109.35 90.00
Space group P2_1/c (No. 14)
Asymmetric unit:
La 0.0234 0.1027 0.2861 x4
La 0.1648 0.6233 0.5706 x4
La 0.3362 0.1209 0.9133 x4
La 0.4756 0.5908 0.1936 x4
Ga 0.1554 0.1844 0.6155 x4
Ga 0.2798 0.6871 0.8742 x4
O 0.0645 0.7471 0.8848 x4
O 0.0686 0.0074 0.8971 x4
O 0.1378 0.2312 0.4612 x4
O 0.2019 0.0299 0.6721 x4
O 0.2670 0.7270 0.2345 x4
O 0.2841 0.5285 0.8363 x4
O 0.2863 0.2255 0.2490 x4
O 0.4208 0.7380 0.0244 x4
O 0.4228 0.0047 0.1051 x4

Largest 10 diffraction maxima, by angle, 10 to 90 degrees two-theta:
index, 2theta, Rel. int.
0 1 3, 25.39, 17.7
2 2 -1, 27.35, 100.0
0 3 2, 28.75, 33.1
0 2 3, 28.92, 58.4
2 0 2, 32.84, 22.4
2 0 -4, 33.19, 15.7
4 0 -2, 45.33, 18.9
2 4 2, 46.36, 14.1
2 4 -4, 46.62, 13.6
4 2 1, 54.43, 13.0

7.
Starting from DFT lattice parameters and positions (PBE), the powder diffraction line list of La2ZnGa2S6O was computed for Cu Kα.

Crystal structure
a b c (Å): 9.4177 9.4177 6.1198
angles (deg): 90.00 90.00 90.00
Space group P-42_1m (No. 113)
Asymmetric unit:
La 0.1553 0.3447 0.4919 x4
Zn 0.0000 0.0000 0.0000 x2
Ga 0.1283 0.6283 0.0863 x4
S 0.0645 0.8318 0.2590 x8
S 0.1316 0.6315 0.7197 x4
O 0.0000 0.5000 0.2361 x2

Largest 10 diffraction maxima, by angle, 10 to 90 degrees two-theta:
index, 2theta, Rel. int.
1 1 1, 19.70, 12.5
2 0 1, 23.84, 20.3
2 1 1, 25.68, 100.0
3 1 0, 30.00, 27.7
2 1 2, 36.29, 23.5
4 0 0, 38.23, 12.8
3 3 0, 40.64, 11.9
3 1 2, 42.35, 26.7
5 2 1, 54.57, 16.8
5 2 2, 61.03, 11.0